Record 1
Starting from a structure optimized by DFT (GGA-PBE), the X-ray diffraction stick pattern of SrMg6Cd6 was computed for Cu Kα X-rays.
Intensities are scaled so that the largest is 100.

Structure:
Cell: 7.792 7.792 7.792 Å, 135.30 98.71 97.92°
Fractional coordinates of all 13 atoms:
1 Sr 0.000 0.000 0.000
2 Mg 0.212 0.712 0.500
3 Mg 0.353 0.353 0.000
4 Mg 0.354 0.000 0.354
5 Mg 0.646 0.000 0.646
6 Mg 0.647 0.647 0.000
7 Mg 0.788 0.288 0.500
8 Cd 0.000 0.000 0.500
9 Cd 0.000 0.500 0.000
10 Cd 0.216 0.500 0.716
11 Cd 0.500 0.000 0.000
12 Cd 0.500 0.500 0.500
13 Cd 0.784 0.500 0.284

Principal peaks in the range 2θ = 15–90°, sorted by position:
- d = 5.076 Å, intensity 61
- d = 3.608 Å, intensity 27
- d = 2.561 Å, intensity 100
- d = 2.552 Å, intensity 41
- d = 2.287 Å, intensity 80
- d = 1.803 Å, intensity 34

***

Record 2
Starting from a structure optimized by DFT (GGA-PBE), the X-ray diffraction stick pattern of Pm3SnAs was computed for Cu Kα X-rays.
Intensities are scaled so that the largest is 100.

Structure:
Cell: 8.609 4.404 15.688 Å, 90.00 90.00 90.00°
Fractional coordinates of all 20 atoms:
1 Pm 0.018 0.250 0.108
2 Pm 0.149 0.250 0.532
3 Pm 0.172 0.750 0.282
4 Pm 0.328 0.250 0.782
5 Pm 0.351 0.750 0.032
6 Pm 0.482 0.750 0.608
7 Pm 0.518 0.250 0.392
8 Pm 0.649 0.250 0.968
9 Pm 0.672 0.750 0.218
10 Pm 0.828 0.250 0.718
11 Pm 0.851 0.750 0.468
12 Pm 0.982 0.750 0.892
13 Sn 0.106 0.750 0.686
14 Sn 0.394 0.250 0.186
15 Sn 0.606 0.750 0.814
16 Sn 0.894 0.250 0.314
17 As 0.189 0.250 0.947
18 As 0.311 0.750 0.447
19 As 0.689 0.250 0.553
20 As 0.811 0.750 0.053

Principal peaks in the range 2θ = 15–90°, sorted by position:
- d = 3.137 Å, intensity 41
- d = 3.021 Å, intensity 41
- d = 2.948 Å, intensity 44
- d = 2.866 Å, intensity 100
- d = 2.555 Å, intensity 36
- d = 2.202 Å, intensity 38

***

- What is the formula in the second record?
  Pm3SnAs